Theoretical PXRD pattern
Compound: Cs3BAsP
Radiation: Cu Ka
Structure: a cell relaxed with PBE

Atomic structure:
Lattice parameters (Å, degrees): 7.0899 7.0899 10.0430 104.22 104.22 89.26
Sites, in units of the cell vectors:
1 Cs 0.0519 0.9481 0.5000
2 Cs 0.3545 0.4614 0.4557
3 Cs 0.4614 0.3545 0.9557
4 Cs 0.5487 0.8595 0.2258
5 Cs 0.8595 0.5487 0.7258
6 Cs 0.9481 0.0519 0.0000
7 B 0.4846 0.9090 0.7327
8 B 0.9090 0.4846 0.2327
9 As 0.0346 0.6066 0.1265
10 As 0.6066 0.0346 0.6265
11 P 0.3634 0.7973 0.8305
12 P 0.7973 0.3634 0.3305

Main lines, by intensity (5° ≤ 2θ ≤ 70°):
| 2theta | I_rel |
| --- | --- |
| 26.0 | 100 |
| 31.1 | 85 |
| 28.0 | 74 |
| 21.5 | 47 |
| 28.1 | 46 |
| 25.5 | 39 |
| 25.3 | 34 |
| 29.7 | 31 |
| 28.5 | 28 |
| 46.9 | 22 |